1.
Diffraction record for Ho2NpCuO8. The PXRD pattern is simulated, not measured: it uses a PBE-relaxed structure and Cu Kα (λ = 1.5418 Å).
Neutral-atom scattering factors, no anomalous dispersion.

Peak list (10 most intense, 10° ≤ 2θ ≤ 80°, in order of rising 2θ)
d [Å]  2theta  Rel. int.  hkl
3.926  22.65  32  0 1 -1
3.368  26.46  100  1 1 0
3.204  27.85  91  0 1 2
2.949  30.30  68  1 -1 0
2.792  32.06  57  0 1 -2
2.747  32.60  46  1 0 2
2.653  33.79  32  1 0 -2
2.089  43.31  30  1 2 2
1.992  45.53  28  2 0 0
1.703  53.83  29  1 1 4

Structural model:
Unit cell a=4.0280 b=5.1990 c=7.4257 alpha=81.34 beta=86.81 gamma=81.81
Space group P-1 (No. 2)
Inequivalent atoms, fractional coordinates:
Ho 0.0215 0.0468 0.2294 [2 per cell]
Np 0.5000 0.5000 0.5000 [1 per cell]
Cu 0.5000 0.5000 0.0000 [1 per cell]
O 0.0628 0.7296 0.5186 [2 per cell]
O 0.1429 0.7544 0.0375 [2 per cell]
O 0.4307 0.2105 0.6863 [2 per cell]
O 0.4601 0.3147 0.2366 [2 per cell]

2.
Diffraction record for Ho2Cu2O5. The PXRD pattern is simulated, not measured: it uses a PBE-relaxed structure and Cu Kα (λ = 1.5418 Å).
Neutral-atom scattering factors, no anomalous dispersion.

Peak list (10 most intense, 10° ≤ 2θ ≤ 80°, in order of rising 2θ)
d [Å]  2theta  Rel. int.  hkl
4.106  21.65  45  2 0 2
3.310  26.93  29  2 0 3
2.949  30.31  31  2 1 0
2.871  31.15  100  2 1 1
2.712  33.03  61  2 0 4
2.686  33.36  58  0 1 3
2.034  44.54  42  4 1 2
1.910  47.60  30  4 1 3
1.772  51.58  24  4 1 4
1.612  57.13  25  6 1 0

Structural model:
Unit cell a=10.8820 b=3.5099 c=12.5135 alpha=90.00 beta=90.00 gamma=90.00
Space group Pna2_1 (No. 33)
Inequivalent atoms, fractional coordinates:
Ho 0.0427 0.2228 0.0000 [4 per cell]
Ho 0.2075 0.2213 0.3277 [4 per cell]
Cu 0.0115 0.3399 0.7171 [4 per cell]
Cu 0.2381 0.1561 0.6112 [4 per cell]
O 0.0715 0.2750 0.5659 [4 per cell]
O 0.0770 0.7275 0.3564 [4 per cell]
O 0.1247 0.3447 0.1639 [4 per cell]
O 0.1733 0.7253 0.9719 [4 per cell]
O 0.1779 0.2192 0.7628 [4 per cell]

3.
Diffraction record for Sr2HoCu3Pb2O8. The PXRD pattern is simulated, not measured: it uses a PBE-relaxed structure and Cu Kα (λ = 1.5418 Å).
Neutral-atom scattering factors, no anomalous dispersion.

Peak list (10 most intense, 10° ≤ 2θ ≤ 80°, in order of rising 2θ)
d [Å]  2theta  Rel. int.  hkl
7.990  11.07  13  0 0 2
3.725  23.89  29  1 0 1
2.765  32.38  100  1 0 4
2.709  33.07  67  1 1 0
2.187  41.29  17  1 0 6
2.066  43.81  21  1 1 5
1.915  47.47  31  2 0 0
1.608  57.31  15  1 1 8
1.574  58.63  38  2 1 4
1.211  79.05  11  3 1 0

Structural model:
Unit cell a=3.8308 b=3.8308 c=15.9794 alpha=90.00 beta=90.00 gamma=90.00
Space group P4/mmm (No. 123)
Inequivalent atoms, fractional coordinates:
Sr 0.0000 0.0000 0.2205 [2 per cell]
Ho 0.0000 0.0000 0.0000 [1 per cell]
Cu 0.0000 0.0000 0.5000 [1 per cell]
Cu 0.5000 0.5000 0.1029 [2 per cell]
Pb 0.5000 0.5000 0.3874 [2 per cell]
O 0.0000 0.0000 0.3834 [2 per cell]
O 0.0000 0.5000 0.0903 [4 per cell]
O 0.5000 0.5000 0.2506 [2 per cell]